Structure and theoretical X-ray diffraction stick pattern of NaLiGaPd (a DFT-relaxed cell (GGA-PBE, Alexandria); λ = 1.5418 Å (Cu Kα)).

Peak list (8 most intense, 15° ≤ 2θ ≤ 90°, in order of rising 2θ)
24.01°, 3.706 Å, rel. 74.1; 39.71°, 2.270 Å, rel. 100.0; 46.94°, 1.936 Å, rel. 36.0; 57.42°, 1.605 Å, rel. 16.4; 63.13°, 1.473 Å, rel. 14.6; 72.07°, 1.310 Å, rel. 32.3; 77.22°, 1.235 Å, rel. 10.8; 85.58°, 1.135 Å, rel. 10.1

Structural model:
Lattice parameters (Å, degrees): 6.4197 6.4197 6.4197 90.00 90.00 90.00
Element x y z (fractional)
Na 0.0000 0.0000 0.0000
Na 0.0000 0.5000 0.5000
Na 0.5000 0.0000 0.5000
Na 0.5000 0.5000 0.0000
Li 0.2500 0.2500 0.7500
Li 0.2500 0.7500 0.2500
Li 0.7500 0.2500 0.2500
Li 0.7500 0.7500 0.7500
Ga 0.0000 0.0000 0.5000
Ga 0.0000 0.5000 0.0000
Ga 0.5000 0.0000 0.0000
Ga 0.5000 0.5000 0.5000
Pd 0.2500 0.2500 0.2500
Pd 0.2500 0.7500 0.7500
Pd 0.7500 0.2500 0.7500
Pd 0.7500 0.7500 0.2500


Structure and theoretical X-ray diffraction stick pattern of LiNbGa6 (a DFT-relaxed cell (GGA-PBE, Alexandria); λ = 1.5418 Å (Cu Kα)).

Peak list (8 most intense, 15° ≤ 2θ ≤ 90°, in order of rising 2θ)
20.33°, 4.367 Å, rel. 47.1; 23.15°, 3.842 Å, rel. 64.8; 36.35°, 2.471 Å, rel. 47.1; 36.60°, 2.455 Å, rel. 74.7; 37.22°, 2.416 Å, rel. 95.7; 39.62°, 2.275 Å, rel. 100.0; 42.82°, 2.112 Å, rel. 58.4; 44.44°, 2.039 Å, rel. 89.3

Structural model:
Lattice parameters (Å, degrees): 8.8125 5.3273 6.3913 90.00 97.63 90.00
Element x y z (fractional)
Li 0.0000 0.0000 0.0000
Li 0.5000 0.5000 0.0000
Nb 0.0000 0.5000 0.5000
Nb 0.5000 0.0000 0.5000
Ga 0.1230 0.0000 0.4324
Ga 0.2171 0.2448 0.7956
Ga 0.2171 0.7552 0.7956
Ga 0.2829 0.2552 0.2044
Ga 0.2829 0.7448 0.2044
Ga 0.3770 0.5000 0.5676
Ga 0.6230 0.5000 0.4324
Ga 0.7171 0.2552 0.7956
Ga 0.7171 0.7448 0.7956
Ga 0.7829 0.2448 0.2044
Ga 0.7829 0.7552 0.2044
Ga 0.8770 0.0000 0.5676


Structure and theoretical X-ray diffraction stick pattern of Li3NdGa2 (a DFT-relaxed cell (GGA-PBE, Alexandria); λ = 1.5418 Å (Cu Kα)).

Peak list (8 most intense, 15° ≤ 2θ ≤ 90°, in order of rising 2θ)
25.57°, 3.484 Å, rel. 76.8; 27.35°, 3.261 Å, rel. 42.9; 28.87°, 3.093 Å, rel. 52.2; 29.29°, 3.049 Å, rel. 100.0; 36.72°, 2.447 Å, rel. 44.4; 38.34°, 2.348 Å, rel. 60.5; 38.56°, 2.335 Å, rel. 96.2; 39.19°, 2.299 Å, rel. 57.3

Structural model:
Lattice parameters (Å, degrees): 7.3303 7.3303 8.5214 117.06 117.06 36.55
Element x y z (fractional)
Li 0.0622 0.0622 0.3881
Li 0.2905 0.2905 0.4752
Li 0.4087 0.4087 0.3081
Li 0.5913 0.5913 0.6919
Li 0.7095 0.7095 0.5248
Li 0.9378 0.9378 0.6119
Nd 0.1358 0.1358 0.0177
Nd 0.8642 0.8642 0.9823
Ga 0.2227 0.2227 0.7401
Ga 0.4444 0.4444 0.8176
Ga 0.5556 0.5556 0.1824
Ga 0.7773 0.7773 0.2599


Structure and theoretical X-ray diffraction stick pattern of Li5NdGa2 (a DFT-relaxed cell (GGA-PBE, Alexandria); λ = 1.5418 Å (Cu Kα)).

Peak list (8 most intense, 15° ≤ 2θ ≤ 90°, in order of rising 2θ)
20.61°, 4.310 Å, rel. 70.6; 31.19°, 2.868 Å, rel. 100.0; 32.72°, 2.737 Å, rel. 22.8; 34.98°, 2.565 Å, rel. 17.2; 35.41°, 2.535 Å, rel. 20.7; 40.95°, 2.204 Å, rel. 28.0; 41.32°, 2.185 Å, rel. 18.8; 43.33°, 2.088 Å, rel. 43.4

Structural model:
Lattice parameters (Å, degrees): 3.7756 8.6199 10.2596 90.00 90.00 90.00
Element x y z (fractional)
Li 0.0000 0.0000 0.0000
Li 0.0000 0.3085 0.3413
Li 0.0000 0.3085 0.6587
Li 0.0000 0.6915 0.3413
Li 0.0000 0.6915 0.6587
Li 0.5000 0.1915 0.1587
Li 0.5000 0.1915 0.8413
Li 0.5000 0.5000 0.5000
Li 0.5000 0.8085 0.1587
Li 0.5000 0.8085 0.8413
Nd 0.0000 0.5000 0.0000
Nd 0.5000 0.0000 0.5000
Ga 0.0000 0.0000 0.2661
Ga 0.0000 0.0000 0.7339
Ga 0.5000 0.5000 0.2339
Ga 0.5000 0.5000 0.7661


Structure and theoretical X-ray diffraction stick pattern of LiNd2Ga3 (a DFT-relaxed cell (GGA-PBE, Alexandria); λ = 1.5418 Å (Cu Kα)).

Peak list (8 most intense, 15° ≤ 2θ ≤ 90°, in order of rising 2θ)
22.59°, 3.936 Å, rel. 24.7; 32.85°, 2.726 Å, rel. 100.0; 39.66°, 2.272 Å, rel. 49.0; 48.15°, 1.890 Å, rel. 9.4; 52.42°, 1.746 Å, rel. 26.7; 64.09°, 1.453 Å, rel. 23.2; 67.66°, 1.385 Å, rel. 15.9; 67.73°, 1.383 Å, rel. 8.4

Structural model:
Lattice parameters (Å, degrees): 9.0857 8.7260 5.9143 73.93 67.35 38.72
Element x y z (fractional)
Li 0.1685 0.1685 0.8315
Li 0.8315 0.8315 0.1685
Nd 0.2443 0.7557 0.7557
Nd 0.2500 0.2500 0.2500
Nd 0.7500 0.7500 0.7500
Nd 0.7557 0.2443 0.2443
Ga 0.1693 0.6632 0.3368
Ga 0.3345 0.3345 0.6655
Ga 0.3368 0.8307 0.1693
Ga 0.6632 0.1693 0.8307
Ga 0.6655 0.6655 0.3345
Ga 0.8307 0.3368 0.6632


Structure and theoretical X-ray diffraction stick pattern of Li2Nd2GaPd5 (a DFT-relaxed cell (GGA-PBE, Alexandria); λ = 1.5418 Å (Cu Kα)).

Peak list (8 most intense, 15° ≤ 2θ ≤ 90°, in order of rising 2θ)
31.73°, 2.820 Å, rel. 76.7; 35.68°, 2.516 Å, rel. 35.3; 38.12°, 2.361 Å, rel. 100.0; 38.45°, 2.341 Å, rel. 75.1; 39.61°, 2.275 Å, rel. 22.1; 41.54°, 2.174 Å, rel. 30.4; 48.92°, 1.862 Å, rel. 26.7; 63.88°, 1.457 Å, rel. 33.3

Structural model:
Lattice parameters (Å, degrees): 9.6540 9.6540 3.7235 90.00 90.00 90.00
Element x y z (fractional)
Li 0.1198 0.3802 0.0000
Li 0.3802 0.8802 0.0000
Li 0.6198 0.1198 0.0000
Li 0.8802 0.6198 0.0000
Nd 0.1795 0.6795 0.0000
Nd 0.3205 0.1795 0.0000
Nd 0.6795 0.8205 0.0000
Nd 0.8205 0.3205 0.0000
Ga 0.0000 0.0000 0.0000
Ga 0.5000 0.5000 0.0000
Pd 0.0000 0.5000 0.5000
Pd 0.0634 0.2040 0.5000
Pd 0.2040 0.9366 0.5000
Pd 0.2960 0.4366 0.5000
Pd 0.4366 0.7040 0.5000
Pd 0.5000 0.0000 0.5000
Pd 0.5634 0.2960 0.5000
Pd 0.7040 0.5634 0.5000
Pd 0.7960 0.0634 0.5000
Pd 0.9366 0.7960 0.5000


Structure and theoretical X-ray diffraction stick pattern of Li2Nd2YGa2 (a DFT-relaxed cell (GGA-PBE, Alexandria); λ = 1.5418 Å (Cu Kα)).

Peak list (8 most intense, 15° ≤ 2θ ≤ 90°, in order of rising 2θ)
22.40°, 3.969 Å, rel. 96.2; 27.69°, 3.221 Å, rel. 22.9; 32.18°, 2.781 Å, rel. 81.6; 34.72°, 2.583 Å, rel. 100.0; 38.87°, 2.317 Å, rel. 89.4; 53.10°, 1.725 Å, rel. 29.4; 65.67°, 1.422 Å, rel. 27.0; 67.73°, 1.383 Å, rel. 27.9

Structural model:
Lattice parameters (Å, degrees): 9.3925 9.3925 9.3925 28.56 28.56 28.56
Element x y z (fractional)
Li 0.1100 0.1100 0.1100
Li 0.8900 0.8900 0.8900
Nd 0.3745 0.3745 0.3745
Nd 0.6255 0.6255 0.6255
Y 0.5000 0.5000 0.5000
Ga 0.2334 0.2334 0.2334
Ga 0.7666 0.7666 0.7666


Structure and theoretical X-ray diffraction stick pattern of LiNdZnGa2 (a DFT-relaxed cell (GGA-PBE, Alexandria); λ = 1.5418 Å (Cu Kα)).

Peak list (8 most intense, 15° ≤ 2θ ≤ 90°, in order of rising 2θ)
22.39°, 3.971 Å, rel. 25.7; 29.52°, 3.026 Å, rel. 52.8; 32.74°, 2.735 Å, rel. 100.0; 34.07°, 2.632 Å, rel. 88.6; 42.24°, 2.139 Å, rel. 58.4; 47.62°, 1.910 Å, rel. 47.9; 54.45°, 1.685 Å, rel. 46.4; 65.52°, 1.425 Å, rel. 36.1

Structural model:
Lattice parameters (Å, degrees): 4.2789 4.2789 10.6702 90.00 90.00 90.00
Element x y z (fractional)
Li 0.0000 0.0000 0.0000
Li 0.5000 0.5000 0.5000
Nd 0.0000 0.5000 0.7500
Nd 0.5000 0.0000 0.2500
Zn 0.0000 0.0000 0.5000
Zn 0.5000 0.5000 0.0000
Ga 0.0000 0.5000 0.1338
Ga 0.0000 0.5000 0.3662
Ga 0.5000 0.0000 0.6338
Ga 0.5000 0.0000 0.8662


Structure and theoretical X-ray diffraction stick pattern of Li2Ga3Ni7 (a DFT-relaxed cell (GGA-PBE, Alexandria); λ = 1.5418 Å (Cu Kα)).

Peak list (8 most intense, 15° ≤ 2θ ≤ 90°, in order of rising 2θ)
22.29°, 3.988 Å, rel. 4.9; 27.28°, 3.269 Å, rel. 16.4; 44.00°, 2.058 Å, rel. 100.0; 47.83°, 1.902 Å, rel. 38.7; 57.69°, 1.598 Å, rel. 10.7; 69.96°, 1.345 Å, rel. 11.5; 78.12°, 1.223 Å, rel. 16.5; 86.45°, 1.126 Å, rel. 25.3

Structural model:
Lattice parameters (Å, degrees): 8.6782 8.5048 4.1770 78.25 73.63 28.11
Element x y z (fractional)
Li 0.1668 0.1668 0.8332
Li 0.8332 0.8332 0.1668
Ga 0.0000 0.0000 0.0000
Ga 0.3346 0.3346 0.6654
Ga 0.6654 0.6654 0.3346
Ni 0.0822 0.0822 0.4178
Ni 0.2500 0.2500 0.2500
Ni 0.4178 0.4178 0.0822
Ni 0.5000 0.5000 0.5000
Ni 0.5822 0.5822 0.9178
Ni 0.7500 0.7500 0.7500
Ni 0.9178 0.9178 0.5822


Structure and theoretical X-ray diffraction stick pattern of Li4GaNi (a DFT-relaxed cell (GGA-PBE, Alexandria); λ = 1.5418 Å (Cu Kα)).

Peak list (8 most intense, 15° ≤ 2θ ≤ 90°, in order of rising 2θ)
23.48°, 3.789 Å, rel. 100.0; 41.27°, 2.188 Å, rel. 34.2; 43.49°, 2.081 Å, rel. 50.5; 48.02°, 1.895 Å, rel. 14.1; 55.95°, 1.643 Å, rel. 15.4; 61.50°, 1.508 Å, rel. 17.1; 65.13°, 1.432 Å, rel. 10.7; 76.78°, 1.241 Å, rel. 17.2

Structural model:
Lattice parameters (Å, degrees): 4.3754 4.3754 4.9797 90.00 90.00 120.00
Element x y z (fractional)
Li 0.3333 0.6667 0.1998
Li 0.3333 0.6667 0.7135
Li 0.6667 0.3333 0.2865
Li 0.6667 0.3333 0.8002
Ga 0.0000 0.0000 0.5000
Ni 0.0000 0.0000 0.0000


Structure and theoretical X-ray diffraction stick pattern of LiGa3Ni4 (a DFT-relaxed cell (GGA-PBE, Alexandria); λ = 1.5418 Å (Cu Kα)).

Peak list (8 most intense, 15° ≤ 2θ ≤ 90°, in order of rising 2θ)
15.99°, 5.541 Å, rel. 7.2; 38.98°, 2.311 Å, rel. 5.1; 43.20°, 2.094 Å, rel. 56.3; 44.79°, 2.023 Å, rel. 100.0; 62.74°, 1.481 Å, rel. 17.5; 67.63°, 1.385 Å, rel. 7.0; 80.35°, 1.195 Å, rel. 32.5; 83.71°, 1.155 Å, rel. 14.3

Structural model:
Lattice parameters (Å, degrees): 2.9617 2.9617 11.0826 90.00 90.00 90.00
Element x y z (fractional)
Li 0.0000 0.0000 0.0000
Ga 0.0000 0.0000 0.2426
Ga 0.0000 0.0000 0.5000
Ga 0.0000 0.0000 0.7574
Ni 0.5000 0.5000 0.1255
Ni 0.5000 0.5000 0.3742
Ni 0.5000 0.5000 0.6258
Ni 0.5000 0.5000 0.8745


Structure and theoretical X-ray diffraction stick pattern of Li2GaNi3 (a DFT-relaxed cell (GGA-PBE, Alexandria); λ = 1.5418 Å (Cu Kα)).

Peak list (8 most intense, 15° ≤ 2θ ≤ 90°, in order of rising 2θ)
21.09°, 4.212 Å, rel. 100.0; 23.17°, 3.839 Å, rel. 42.1; 24.10°, 3.693 Å, rel. 54.5; 44.08°, 2.054 Å, rel. 67.7; 44.61°, 2.031 Å, rel. 92.5; 47.35°, 1.920 Å, rel. 30.8; 49.35°, 1.847 Å, rel. 64.4; 56.59°, 1.626 Å, rel. 37.1

Structural model:
Lattice parameters (Å, degrees): 4.8638 4.8638 7.6788 90.00 90.00 120.00
Element x y z (fractional)
Li 0.3333 0.6667 0.0723
Li 0.3333 0.6667 0.4277
Li 0.6667 0.3333 0.5723
Li 0.6667 0.3333 0.9277
Ga 0.0000 0.0000 0.0000
Ga 0.0000 0.0000 0.5000
Ni 0.1719 0.3438 0.7500
Ni 0.1719 0.8281 0.7500
Ni 0.3438 0.1719 0.2500
Ni 0.6562 0.8281 0.7500
Ni 0.8281 0.1719 0.2500
Ni 0.8281 0.6562 0.2500


Structure and theoretical X-ray diffraction stick pattern of LiGaNi3 (a DFT-relaxed cell (GGA-PBE, Alexandria); λ = 1.5418 Å (Cu Kα)).

Peak list (8 most intense, 15° ≤ 2θ ≤ 90°, in order of rising 2θ)
19.11°, 4.645 Å, rel. 11.8; 30.91°, 2.893 Å, rel. 7.3; 43.73°, 2.070 Å, rel. 100.0; 49.29°, 1.849 Å, rel. 17.5; 51.75°, 1.767 Å, rel. 29.3; 74.25°, 1.277 Å, rel. 18.5; 76.35°, 1.247 Å, rel. 4.2; 88.44°, 1.105 Å, rel. 12.0

Structural model:
Lattice parameters (Å, degrees): 5.0047 3.6976 12.4728 90.00 90.00 90.00
Element x y z (fractional)
Li 0.1253 0.2500 0.0461
Li 0.3747 0.7500 0.5461
Li 0.6253 0.2500 0.4539
Li 0.8747 0.7500 0.9539
Ga 0.1133 0.2500 0.6476
Ga 0.3867 0.7500 0.1476
Ga 0.6133 0.2500 0.8524
Ga 0.8867 0.7500 0.3524
Ni 0.1157 0.2500 0.8458
Ni 0.1282 0.2500 0.4472
Ni 0.1387 0.2500 0.2499
Ni 0.3613 0.7500 0.7499
Ni 0.3718 0.7500 0.9472
Ni 0.3843 0.7500 0.3458
Ni 0.6157 0.2500 0.6542
Ni 0.6282 0.2500 0.0528
Ni 0.6387 0.2500 0.2501
Ni 0.8613 0.7500 0.7501
Ni 0.8718 0.7500 0.5528
Ni 0.8843 0.7500 0.1542


Structure and theoretical X-ray diffraction stick pattern of Li2Ga2Ni (a DFT-relaxed cell (GGA-PBE, Alexandria); λ = 1.5418 Å (Cu Kα)).

Peak list (8 most intense, 15° ≤ 2θ ≤ 90°, in order of rising 2θ)
29.03°, 3.076 Å, rel. 100.0; 38.95°, 2.312 Å, rel. 44.5; 40.99°, 2.202 Å, rel. 35.7; 41.45°, 2.178 Å, rel. 56.2; 45.35°, 2.000 Å, rel. 43.4; 47.75°, 1.905 Å, rel. 28.7; 53.26°, 1.720 Å, rel. 26.7; 78.11°, 1.224 Å, rel. 27.6

Structural model:
Lattice parameters (Å, degrees): 7.0466 7.0466 7.0466 136.58 60.96 139.38
Element x y z (fractional)
Li 0.1792 0.1754 0.3546
Li 0.3208 0.6754 0.9962
Li 0.6792 0.3246 0.0038
Li 0.8208 0.8246 0.6454
Ga 0.0900 0.6611 0.7511
Ga 0.4100 0.1611 0.5711
Ga 0.5900 0.8389 0.4289
Ga 0.9100 0.3389 0.2489
Ni 0.2500 0.2500 0.0000
Ni 0.7500 0.7500 0.0000